[1]
Computed X-ray powder pattern
Compound: SmClF
Radiation: Cu Kα (λ = 1.5418 Å)
Structure: the GGA-PBE geometry in the Materials Project
Kinematic intensities with the Lorentz-polarization factor, no thermal factor.

Most intense lines, 15° ≤ 2θ ≤ 90°, in order of rising 2θ:
19.9 deg, I 51; 26.4 deg, I 100; 31.7 deg, I 91; 34.7 deg, I 57; 40.3 deg, I 61; 47.8 deg, I 52

Atomic structure:
```
data_SmClF
_cell_length_a 3.652
_cell_length_b 3.652
_cell_length_c 8.926
_cell_angle_alpha 90.00
_cell_angle_beta 90.00
_cell_angle_gamma 90.00
_symmetry_space_group_name_H-M 'P 4/n m m'
_symmetry_Int_Tables_number 129
loop_
_symmetry_equiv_pos_as_xyz
'x,y,z'
'-x,-y,-z'
'-y+1/2,x,z'
'y+1/2,-x,-z'
'-x+1/2,-y+1/2,z'
'x+1/2,y+1/2,-z'
'y,-x+1/2,z'
'-y,x+1/2,-z'
'x+1/2,-y,-z'
'-x+1/2,y,z'
'-y,-x,-z'
'y,x,z'
'-x,y+1/2,-z'
'x,-y+1/2,z'
'y+1/2,x+1/2,-z'
'-y+1/2,-x+1/2,z'
loop_
_atom_site_label
_atom_site_fract_x
_atom_site_fract_y
_atom_site_fract_z
Sm1 0.250 0.250 0.193
Cl1 0.250 0.250 0.663
F1 0.250 0.750 0.000
```

=====

[2]
Computed X-ray powder pattern
Compound: SnClF
Radiation: Cu Kα (λ = 1.5418 Å)
Structure: the GGA-PBE geometry in the Materials Project
Kinematic intensities with the Lorentz-polarization factor, no thermal factor.

Most intense lines, 15° ≤ 2θ ≤ 90°, in order of rising 2θ:
16.8 deg, I 41; 21.9 deg, I 48; 26.1 deg, I 100; 32.6 deg, I 22; 37.0 deg, I 26; 43.6 deg, I 32

Atomic structure:
```
data_SnClF
_cell_length_a 6.330
_cell_length_b 4.404
_cell_length_c 10.538
_cell_angle_alpha 90.00
_cell_angle_beta 90.00
_cell_angle_gamma 90.00
_symmetry_space_group_name_H-M 'P n m a'
_symmetry_Int_Tables_number 62
loop_
_symmetry_equiv_pos_as_xyz
'x,y,z'
'-x,-y,-z'
'-x+1/2,-y,z+1/2'
'x+1/2,y,-z+1/2'
'x+1/2,-y+1/2,-z+1/2'
'-x+1/2,y+1/2,z+1/2'
'-x,y+1/2,-z'
'x,-y+1/2,z'
loop_
_atom_site_label
_atom_site_fract_x
_atom_site_fract_y
_atom_site_fract_z
Sn1 0.217 0.250 0.079
Cl1 0.098 0.750 0.364
F1 0.102 0.750 0.022
```